Starting from a structure optimized by DFT (PBE+U), the PXRD pattern of Na3CrSiBO7 was simulated for Cu Ka.
No peak broadening, texture or thermal motion is included.

Structural model:
```
Na3CrSiBO7
1.0
5.3197 0.0000 0.0000
0.0000 6.4782 0.0000
-0.3336 0.0000 8.9427
Na Cr Si B O
6 2 2 2 14
Cartesian
1.2113 1.6196 0.7230
1.1151 3.2984 6.6162
1.1151 6.4190 6.6162
3.8710 0.0593 2.3264
3.8710 3.1799 2.3264
3.7748 4.8587 8.2197
1.0165 4.8587 2.9772
3.9696 1.6196 5.9655
1.3575 1.6196 3.8309
3.6286 4.8587 5.1118
1.4403 4.8587 0.5943
3.5458 1.6196 8.3483
0.1585 4.8587 1.1685
0.3827 1.6196 5.1438
1.0309 0.3237 2.8575
1.0309 2.9154 2.8575
1.3947 4.8587 8.2321
2.0419 4.8587 4.6892
2.4127 4.8587 1.6350
2.5734 1.6196 7.3077
2.9442 1.6196 4.2535
3.5915 1.6196 0.7106
3.9552 3.5628 6.0852
3.9552 6.1546 6.0852
4.6034 4.8587 3.7989
4.8276 1.6196 7.7742
```

The 10 most intense peaks (2θ = 10–80°), by intensity:
| 2θ/deg | d_spacing | I/Imax |
| --- | --- | --- |
| 33.72 | 2.658 | 100.0 |
| 34.15 | 2.625 | 79.9 |
| 27.54 | 3.239 | 68.0 |
| 16.90 | 5.246 | 44.9 |
| 29.96 | 2.983 | 33.5 |
| 56.85 | 1.620 | 28.3 |
| 19.74 | 4.497 | 26.7 |
| 33.93 | 2.642 | 26.3 |
| 25.55 | 3.486 | 24.3 |
| 19.10 | 4.646 | 23.8 |